No. 1
Simulated PXRD pattern
Compound: RbHg12Pd6
Radiation: Cu Kα X-rays
Structure: a crystal structure in Alexandria, relaxed with GGA-PBE

Largest 8 diffraction maxima, sorted by position, 10° ≤ 2θ ≤ 80°:
30.71°, intensity 100.0
31.41°, intensity 46.1
36.77°, intensity 56.6
37.37°, intensity 89.3
41.18°, intensity 29.0
42.63°, intensity 24.0
45.31°, intensity 49.0
56.82°, intensity 33.4

Cell and atoms:
```
data_RbHg12Pd6
_chemical_formula_sum 'Rb3 Hg36 Pd18'
_space_group_name_H-M_alt 'R -3 m'
_space_group_IT_number 166
_space_group_name_Hall '-R 3 2"'
_cell_length_a 12.7262
_cell_length_b 12.7262
_cell_length_c 9.5564
_cell_angle_alpha 90.00
_cell_angle_beta 90.00
_cell_angle_gamma 120.00
loop_
_atom_site_label
_atom_site_fract_x
_atom_site_fract_y
_atom_site_fract_z
Rb1 0.0000 0.0000 0.0000
Hg1 0.0000 0.3812 0.5000
Hg2 0.0890 0.1780 0.3166
Pd1 0.0603 0.5301 0.2575
```


No. 2
Simulated PXRD pattern
Compound: SmZn2GeRh2
Radiation: Cu Kα X-rays
Structure: a crystal structure in Alexandria, relaxed with GGA-PBE

Largest 8 diffraction maxima, sorted by position, 10° ≤ 2θ ≤ 80°:
15.68°, intensity 24.6
31.83°, intensity 94.6
37.39°, intensity 91.9
39.31°, intensity 100.0
51.33°, intensity 24.1
55.37°, intensity 57.6
56.81°, intensity 33.4
66.57°, intensity 33.1

Cell and atoms:
```
data_SmZn2GeRh2
_chemical_formula_sum 'Sm1 Zn2 Ge1 Rh2'
_space_group_name_H-M_alt 'P 4/m m m'
_space_group_IT_number 123
_space_group_name_Hall '-P 4 2'
_cell_length_a 4.584
_cell_length_b 4.584
_cell_length_c 5.651
_cell_angle_alpha 90.00
_cell_angle_beta 90.00
_cell_angle_gamma 90.00
loop_
_atom_site_label
_atom_site_fract_x
_atom_site_fract_y
_atom_site_fract_z
Sm1 0.000 0.000 0.000
Zn1 0.500 0.500 0.236
Ge1 0.000 0.000 0.500
Rh1 0.000 0.500 0.500
```